The following is a theoretical powder XRD pattern of SrRh3O8. It was derived from a DFT-relaxed cell (PBE, Alexandria), using λ = 1.5418 Å (Cu Kα).

a = 5.4955 Å, b = 5.4955 Å, c = 6.1168 Å
α = 90.00°, β = 90.00°, γ = 120.00°
Positions (direct):
Sr: 0.0000 0.0000 0.0000
Rh: 0.0000 0.0000 0.5000
Rh: 0.3333 0.6667 0.5535
Rh: 0.6667 0.3333 0.4465
O: 0.0651 0.3597 0.3551
O: 0.2947 0.9349 0.3551
O: 0.3333 0.6667 0.8542
O: 0.3597 0.2947 0.6449
O: 0.6403 0.7053 0.3551
O: 0.6667 0.3333 0.1458
O: 0.7053 0.0651 0.6449
O: 0.9349 0.6403 0.6449

Peak list (6 most intense, 10 to 90 degrees two-theta, in order of rising 2θ)
14.48 deg, rel. 100; 23.69 deg, rel. 26; 29.20 deg, rel. 28; 32.59 deg, rel. 92; 35.83 deg, rel. 30; 44.32 deg, rel. 67



The following is a theoretical powder XRD pattern of Li3Cd4Ge. It was derived from a DFT-relaxed cell (PBE, Alexandria), using λ = 1.5418 Å (Cu Kα).

a = 12.3385 Å, b = 12.3385 Å, c = 4.8552 Å
α = 101.17°, β = 101.17°, γ = 14.03°
Positions (direct):
Li: 0.0000 0.0000 0.0000
Li: 0.2242 0.2242 0.7245
Li: 0.7758 0.7758 0.2755
Cd: 0.1019 0.1019 0.6059
Cd: 0.1702 0.1702 0.1726
Cd: 0.8298 0.8298 0.8274
Cd: 0.8981 0.8981 0.3941
Ge: 0.5000 0.5000 0.5000

Peak list (6 most intense, 10 to 90 degrees two-theta, in order of rising 2θ)
14.75 deg, rel. 56; 21.40 deg, rel. 57; 26.09 deg, rel. 62; 31.73 deg, rel. 67; 37.03 deg, rel. 45; 41.88 deg, rel. 100